# 1
For Fe46B3C9, the PBE geometry in Alexandria gives the computed X-ray powder pattern in this record (Cu Kα (λ = 1.5418 Å)).
Peak positions follow from Bragg's law for the DFT cell and can differ from measured ones.

Crystal structure
```
data_Fe46B3C9
_chemical_formula_sum 'Fe46 B3 C9'
_cell_length_a 7.4223
_cell_length_b 7.4300
_cell_length_c 12.8521
_cell_angle_alpha 73.49
_cell_angle_beta 73.39
_cell_angle_gamma 60.12
_symmetry_space_group_name_H-M 'P 1'
_symmetry_Int_Tables_number 1
loop_
_symmetry_equiv_pos_as_xyz
'x,y,z'
loop_
_atom_site_label
_atom_site_fract_x
_atom_site_fract_y
_atom_site_fract_z
Fe1 0.0000 0.0000 0.0000
Fe2 0.0003 0.6548 0.3406
Fe3 0.0015 0.9932 0.3393
Fe4 0.0047 0.3248 0.6707
Fe5 0.0076 0.9870 0.6706
Fe6 0.0465 0.7005 0.5456
Fe7 0.0953 0.2817 0.8629
Fe8 0.0977 0.7538 0.8615
Fe9 0.1304 0.2485 0.3626
Fe10 0.1676 0.8212 0.1675
Fe11 0.1705 0.1612 0.1710
Fe12 0.1731 0.4795 0.1734
Fe13 0.2166 0.3959 0.9808
Fe14 0.2428 0.3687 0.4783
Fe15 0.2460 0.9019 0.4778
Fe16 0.2996 0.9495 0.7956
Fe17 0.3234 0.3249 0.6706
Fe18 0.3294 0.6696 0.6685
Fe19 0.3388 0.6561 0.3389
Fe20 0.3408 0.9939 0.0012
Fe21 0.3472 0.6533 0.9999
Fe22 0.3607 0.0162 0.5956
Fe23 0.4783 0.1324 0.2472
Fe24 0.4986 0.5009 0.4990
Fe25 0.5041 0.1491 0.8418
Fe26 0.5060 0.4947 0.8407
Fe27 0.5078 0.8244 0.1707
Fe28 0.5105 0.4847 0.1707
Fe29 0.5485 0.1992 0.0468
Fe30 0.5938 0.7856 0.3626
Fe31 0.5967 0.2509 0.3610
Fe32 0.6334 0.7472 0.8634
Fe33 0.6578 0.3248 0.6706
Fe34 0.6700 0.6627 0.6704
Fe35 0.6725 0.9799 0.6726
Fe36 0.7145 0.8976 0.4787
Fe37 0.7453 0.8670 0.9797
Fe38 0.7486 0.4003 0.9792
Fe39 0.7957 0.4508 0.2966
Fe40 0.8260 0.8268 0.1733
Fe41 0.8314 0.1639 0.1708
Fe42 0.8394 0.1556 0.8398
Fe43 0.8388 0.4941 0.5014
Fe44 0.8453 0.1545 0.5001
Fe45 0.8623 0.5149 0.0970
Fe46 0.9779 0.6336 0.7455
B1 0.0361 0.6885 0.0354
B2 0.2626 0.4615 0.8077
B3 0.5353 0.1885 0.5338
C1 0.0333 0.2430 0.0321
C2 0.0888 0.1863 0.5319
C3 0.3094 0.9635 0.3093
C4 0.3107 0.4072 0.3106
C5 0.5322 0.7445 0.5310
C6 0.5903 0.6856 0.0322
C7 0.7529 0.9648 0.3107
C8 0.8123 0.4634 0.8096
C9 0.8131 0.9051 0.8107
```

Peak list (12 most intense, 10 to 80 degrees two-theta, low angle first)
index, 2θ/deg, d (Å), I_rel
1 -1 4, 38.25, 2.353, 18.9
3 2 3, 38.36, 2.346, 19.3
-1 2 3, 42.09, 2.147, 28.6
1 3 4, 42.19, 2.142, 15.0
1 -2 3, 44.74, 2.026, 35.3
3 3 0, 44.81, 2.022, 100.0
2 2 6, 44.94, 2.017, 22.3
2 2 -4, 49.00, 1.859, 22.9
0 2 6, 49.10, 1.855, 10.7
1 4 1, 51.38, 1.778, 19.6
4 1 1, 51.51, 1.774, 21.2
3 0 9, 77.04, 1.238, 12.4



# 2
For ErTm5Sc3, the PBE geometry in Alexandria gives the computed X-ray powder pattern in this record (Cu Kα (λ = 1.5418 Å)).
Peak positions follow from Bragg's law for the DFT cell and can differ from measured ones.

Crystal structure
```
data_ErTm5Sc3
_chemical_formula_sum 'Er4 Tm20 Sc12'
_cell_length_a 11.3460
_cell_length_b 11.1591
_cell_length_c 9.4200
_cell_angle_alpha 90.00
_cell_angle_beta 104.52
_cell_angle_gamma 90.00
_symmetry_space_group_name_H-M 'C 1 2/m 1'
_symmetry_Int_Tables_number 12
loop_
_symmetry_equiv_pos_as_xyz
'x,y,z'
'-x,-y,-z'
'-x,y,-z'
'x,-y,z'
'x+1/2,y+1/2,z'
'-x+1/2,-y+1/2,-z'
'-x+1/2,y+1/2,-z'
'x+1/2,-y+1/2,z'
loop_
_atom_site_label
_atom_site_fract_x
_atom_site_fract_y
_atom_site_fract_z
Er1 0.2296 0.0000 0.2238
Tm1 0.0000 0.2566 0.0000
Tm2 0.1298 0.2510 0.6497
Tm3 0.2366 0.5000 0.4278
Tm4 0.2482 0.5000 0.0942
Sc1 0.0000 0.0000 0.0000
Sc2 0.0000 0.5000 0.5000
Sc3 0.0046 0.0000 0.3436
Sc4 0.0078 0.5000 0.8259
```

Peak list (12 most intense, 10 to 80 degrees two-theta, low angle first)
index, 2θ/deg, d (Å), I_rel
2 0 1, 20.87, 4.257, 30.7
2 0 -2, 22.00, 4.041, 42.5
2 2 0, 22.72, 3.914, 89.3
2 2 1, 26.34, 3.384, 68.6
2 2 -2, 27.25, 3.273, 60.5
0 4 0, 32.08, 2.790, 96.9
0 2 3, 33.53, 2.673, 100.0
3 1 -3, 34.24, 2.619, 46.1
4 2 -1, 35.54, 2.526, 27.6
4 2 0, 36.47, 2.464, 75.1
1 3 3, 40.73, 2.215, 31.2
3 3 -3, 41.38, 2.182, 29.0



# 3
For Tm4AgPd2, the PBE geometry in Alexandria gives the computed X-ray powder pattern in this record (Cu Kα (λ = 1.5418 Å)).
Peak positions follow from Bragg's law for the DFT cell and can differ from measured ones.

Crystal structure
```
data_Tm4AgPd2
_chemical_formula_sum 'Tm12 Ag3 Pd6'
_cell_length_a 4.9127
_cell_length_b 4.9127
_cell_length_c 23.9631
_cell_angle_alpha 90.00
_cell_angle_beta 90.00
_cell_angle_gamma 120.00
_symmetry_space_group_name_H-M 'R -3 m'
_symmetry_Int_Tables_number 166
_symmetry_space_group_name_Hall '-R 3 2"'
loop_
_atom_site_label
_atom_site_fract_x
_atom_site_fract_y
_atom_site_fract_z
Tm1 0.0000 0.0000 0.1213
Tm2 0.0000 0.0000 0.3722
Ag1 0.0000 0.0000 0.5000
Pd1 0.0000 0.0000 0.2510
```

Peak list (12 most intense, 10 to 80 degrees two-theta, low angle first)
index, 2θ/deg, d (Å), I_rel
0 0 6, 22.20, 4.005, 5.4
1 0 4, 25.68, 3.469, 28.3
0 1 5, 28.04, 3.182, 5.6
1 1 0, 36.58, 2.456, 100.0
0 1 8, 36.69, 2.449, 97.4
0 2 4, 45.23, 2.005, 6.5
2 0 8, 52.78, 1.734, 34.2
2 1 4, 59.52, 1.553, 6.0
3 0 0, 65.91, 1.417, 52.6
1 0 16, 66.15, 1.413, 16.3
2 2 0, 77.76, 1.228, 11.1
0 2 16, 78.03, 1.225, 10.2



# 4
For Pr2Nd3Er4, the PBE geometry in Alexandria gives the computed X-ray powder pattern in this record (Cu Kα (λ = 1.5418 Å)).
Peak positions follow from Bragg's law for the DFT cell and can differ from measured ones.

Crystal structure
```
data_Pr2Nd3Er4
_chemical_formula_sum 'Pr2 Nd3 Er4'
_cell_length_a 6.2480
_cell_length_b 6.2548
_cell_length_c 8.0653
_cell_angle_alpha 82.53
_cell_angle_beta 75.15
_cell_angle_gamma 80.52
_symmetry_space_group_name_H-M 'P -1'
_symmetry_Int_Tables_number 2
loop_
_symmetry_equiv_pos_as_xyz
'x,y,z'
'-x,-y,-z'
loop_
_atom_site_label
_atom_site_fract_x
_atom_site_fract_y
_atom_site_fract_z
Pr1 0.1683 0.3318 0.3328
Nd1 0.0584 0.1101 0.7779
Nd2 0.5000 0.0000 0.0000
Er1 0.2779 0.5528 0.8881
Er2 0.3906 0.7736 0.4460
```

Peak list (11 most intense, 10 to 80 degrees two-theta, low angle first)
index, 2θ/deg, d (Å), I_rel
2 1 1, 30.33, 2.947, 100.0
1 1 3, 35.16, 2.552, 50.7
-1 2 3, 50.49, 1.807, 6.1
3 0 3, 50.60, 1.804, 30.1
-2 3 1, 60.01, 1.542, 3.6
4 0 1, 60.10, 1.540, 21.6
3 3 0, 60.17, 1.538, 17.9
2 0 -4, 63.03, 1.475, 6.2
4 2 2, 63.16, 1.472, 6.2
4 -2 0, 74.24, 1.277, 1.9
2 2 6, 74.38, 1.275, 3.8



# 5
For Ce2BePd4Au2, the PBE geometry in Alexandria gives the computed X-ray powder pattern in this record (Cu Kα (λ = 1.5418 Å)).
Peak positions follow from Bragg's law for the DFT cell and can differ from measured ones.

Crystal structure
```
data_Ce2BePd4Au2
_chemical_formula_sum 'Ce4 Be2 Pd8 Au4'
_cell_length_a 6.2284
_cell_length_b 6.2284
_cell_length_c 8.6243
_cell_angle_alpha 90.00
_cell_angle_beta 90.00
_cell_angle_gamma 90.00
_symmetry_space_group_name_H-M 'I 4/m m m'
_symmetry_Int_Tables_number 139
_symmetry_space_group_name_Hall '-I 4 2'
loop_
_atom_site_label
_atom_site_fract_x
_atom_site_fract_y
_atom_site_fract_z
Ce1 0.0000 0.5000 0.2500
Be1 0.0000 0.0000 0.0000
Pd1 0.2365 0.2365 0.5000
Au1 0.0000 0.0000 0.2650
```

Peak list (12 most intense, 10 to 80 degrees two-theta, low angle first)
index, 2θ/deg, d (Å), I_rel
1 1 0, 20.16, 4.404, 2.6
0 0 2, 20.60, 4.312, 3.9
2 0 0, 28.67, 3.114, 4.6
2 0 2, 35.56, 2.525, 100.0
2 2 0, 40.99, 2.202, 34.5
0 0 4, 41.90, 2.156, 15.8
2 2 2, 46.29, 1.961, 2.4
4 0 0, 59.35, 1.557, 11.3
2 2 4, 60.05, 1.541, 21.2
4 2 2, 71.14, 1.325, 25.2
2 0 6, 72.41, 1.305, 11.3
4 0 4, 75.28, 1.262, 10.7



# 6
For Ho7Cd2In2, the PBE geometry in Alexandria gives the computed X-ray powder pattern in this record (Cu Kα (λ = 1.5418 Å)).
Peak positions follow from Bragg's law for the DFT cell and can differ from measured ones.

Crystal structure
```
data_Ho7Cd2In2
_chemical_formula_sum 'Ho14 Cd4 In4'
_cell_length_a 7.4589
_cell_length_b 11.1178
_cell_length_c 8.1132
_cell_angle_alpha 90.00
_cell_angle_beta 90.00
_cell_angle_gamma 90.00
_symmetry_space_group_name_H-M 'C m m m'
_symmetry_Int_Tables_number 65
_symmetry_space_group_name_Hall '-C 2 2'
loop_
_atom_site_label
_atom_site_fract_x
_atom_site_fract_y
_atom_site_fract_z
Ho1 0.0000 0.0000 0.0000
Ho2 0.0000 0.5000 0.2408
Ho3 0.2500 0.2500 0.2930
Cd1 0.0000 0.2830 0.0000
In1 0.1898 0.0000 0.5000
```

Peak list (12 most intense, 10 to 80 degrees two-theta, low angle first)
index, 2θ/deg, d (Å), I_rel
2 0 1, 26.28, 3.391, 100.0
2 2 0, 28.83, 3.097, 40.2
0 4 0, 32.21, 2.779, 61.7
1 3 2, 34.93, 2.569, 42.5
2 2 2, 36.50, 2.462, 91.2
0 2 3, 36.98, 2.431, 30.3
2 4 1, 42.04, 2.149, 23.5
0 0 4, 44.68, 2.028, 16.7
4 0 0, 48.84, 1.865, 15.8
0 4 4, 56.11, 1.639, 21.7
4 4 0, 59.72, 1.549, 15.4
2 6 2, 60.26, 1.536, 21.8



# 7
For Na3SiF6, the PBE geometry in Alexandria gives the computed X-ray powder pattern in this record (Cu Kα (λ = 1.5418 Å)).
Peak positions follow from Bragg's law for the DFT cell and can differ from measured ones.

Crystal structure
```
data_Na3SiF6
_chemical_formula_sum 'Na12 Si4 F24'
_cell_length_a 7.0682
_cell_length_b 7.8821
_cell_length_c 10.7615
_cell_angle_alpha 90.00
_cell_angle_beta 90.00
_cell_angle_gamma 90.00
_symmetry_space_group_name_H-M 'F m m m'
_symmetry_Int_Tables_number 69
_symmetry_space_group_name_Hall '-F 2 2'
loop_
_atom_site_label
_atom_site_fract_x
_atom_site_fract_y
_atom_site_fract_z
Na1 0.0000 0.0000 0.0000
Na2 0.2500 0.2500 0.2500
Si1 0.0000 0.0000 0.5000
F1 0.0000 0.2174 0.5000
F2 0.1761 0.0000 0.3864
```

Peak list (12 most intense, 10 to 80 degrees two-theta, low angle first)
index, 2θ/deg, d (Å), I_rel
0 0 2, 16.47, 5.381, 43.4
1 1 1, 18.77, 4.727, 64.8
0 2 0, 22.56, 3.941, 14.4
0 2 2, 28.06, 3.179, 39.0
2 0 2, 30.26, 2.954, 100.0
0 2 4, 40.60, 2.222, 26.1
2 0 4, 42.22, 2.141, 15.5
0 4 0, 46.06, 1.971, 32.7
2 2 4, 48.39, 1.881, 33.3
2 4 2, 56.11, 1.639, 24.4
2 0 6, 57.63, 1.599, 18.4
4 0 4, 62.93, 1.477, 14.3



# 8
For Dy7Mg3, the PBE geometry in Alexandria gives the computed X-ray powder pattern in this record (Cu Kα (λ = 1.5418 Å)).
Peak positions follow from Bragg's law for the DFT cell and can differ from measured ones.

Crystal structure
```
data_Dy7Mg3
_chemical_formula_sum 'Dy14 Mg6'
_cell_length_a 10.1050
_cell_length_b 10.1050
_cell_length_c 6.8396
_cell_angle_alpha 90.00
_cell_angle_beta 90.00
_cell_angle_gamma 120.00
_symmetry_space_group_name_H-M 'P 63 m c'
_symmetry_Int_Tables_number 186
_symmetry_space_group_name_Hall 'P 6c -2c'
loop_
_atom_site_label
_atom_site_fract_x
_atom_site_fract_y
_atom_site_fract_z
Dy1 0.0584 0.5292 0.0000
Dy2 0.1234 0.2468 0.2421
Dy3 0.3333 0.6667 0.3457
Mg1 0.2140 0.4280 0.6908
```

Peak list (12 most intense, 10 to 80 degrees two-theta, low angle first)
index, 2θ/deg, d (Å), I_rel
1 0 1, 16.45, 5.389, 22.3
2 0 1, 24.15, 3.686, 13.5
2 1 0, 26.96, 3.308, 38.2
1 0 2, 28.01, 3.185, 42.4
2 1 1, 30.01, 2.978, 100.0
2 0 2, 33.25, 2.694, 77.0
3 0 1, 33.39, 2.683, 64.9
2 2 0, 35.54, 2.526, 32.0
3 2 2, 52.88, 1.731, 29.5
5 0 1, 54.09, 1.696, 23.0
3 3 0, 54.48, 1.684, 16.6
3 2 3, 61.55, 1.507, 18.6